No. 1
The following is a theoretical powder diffractogram of KSr3La8Mn12O36. It was derived from a DFT-relaxed cell (PBE+U, the Materials Project), using Cu Ka.
Intensities are scaled so that the largest is 100.

Cell and atoms:
a b c (Å): 5.521 16.677 7.832
angles (deg): 90.00 90.58 90.00
Space group P2 (No. 3)
Unique sites:
1 K 0.000 0.000 0.000 (multiplicity 1)
2 Sr 0.000 0.334 0.500 (multiplicity 1)
3 Sr 0.000 0.666 0.500 (multiplicity 1)
4 Sr 0.500 0.501 0.000 (multiplicity 1)
5 La 0.000 0.335 0.000 (multiplicity 1)
6 La 0.000 0.667 0.000 (multiplicity 1)
7 La 0.000 0.999 0.500 (multiplicity 1)
8 La 0.500 0.165 0.000 (multiplicity 1)
9 La 0.500 0.165 0.500 (multiplicity 1)
10 La 0.500 0.500 0.500 (multiplicity 1)
11 La 0.500 0.832 0.500 (multiplicity 1)
12 La 0.500 0.835 0.000 (multiplicity 1)
13 Mn 0.000 0.166 0.249 (multiplicity 2)
14 Mn 0.000 0.500 0.250 (multiplicity 2)
15 Mn 0.000 0.834 0.249 (multiplicity 2)
16 Mn 0.499 0.334 0.251 (multiplicity 2)
17 Mn 0.500 0.000 0.247 (multiplicity 2)
18 Mn 0.500 0.666 0.251 (multiplicity 2)
19 O 0.000 0.150 0.500 (multiplicity 1)
20 O 0.000 0.185 0.000 (multiplicity 1)
21 O 0.000 0.487 0.500 (multiplicity 1)
22 O 0.000 0.517 0.000 (multiplicity 1)
23 O 0.000 0.821 0.500 (multiplicity 1)
24 O 0.000 0.840 0.000 (multiplicity 1)
25 O 0.226 0.408 0.776 (multiplicity 2)
26 O 0.229 0.743 0.778 (multiplicity 2)
27 O 0.230 0.591 0.269 (multiplicity 2)
28 O 0.231 0.256 0.267 (multiplicity 2)
29 O 0.235 0.921 0.286 (multiplicity 2)
30 O 0.239 0.080 0.758 (multiplicity 2)
31 O 0.270 0.423 0.230 (multiplicity 2)
32 O 0.275 0.575 0.724 (multiplicity 2)
33 O 0.277 0.759 0.225 (multiplicity 2)
34 O 0.277 0.907 0.722 (multiplicity 2)
35 O 0.278 0.241 0.731 (multiplicity 2)
36 O 0.281 0.095 0.236 (multiplicity 2)
37 O 0.500 0.015 0.500 (multiplicity 1)
38 O 0.500 0.315 0.000 (multiplicity 1)
39 O 0.500 0.350 0.500 (multiplicity 1)
40 O 0.500 0.656 0.000 (multiplicity 1)
41 O 0.500 0.684 0.500 (multiplicity 1)
42 O 0.500 0.983 0.000 (multiplicity 1)

Top 10 peaks for 2θ = 15–90°, by intensity:
(2 0 0), 2θ 32.44, rel. 100
(0 6 0), 2θ 32.21, rel. 99
(2 6 0), 2θ 46.36, rel. 66
(1 9 2), 2θ 57.57, rel. 39
(2 0 -2), 2θ 39.77, rel. 25
(2 0 -4), 2θ 57.42, rel. 21
(4 0 0), 2θ 67.93, rel. 19
(2 0 4), 2θ 58.02, rel. 19
(2 6 -4), 2θ 67.38, rel. 18
(0 0 2), 2θ 22.70, rel. 18

No. 2
The following is a theoretical powder diffractogram of Rb3CoO2. It was derived from a DFT-relaxed cell (PBE+U, the Materials Project), using Cu Ka.
Intensities are scaled so that the largest is 100.

Cell and atoms:
a b c (Å): 12.438 7.826 6.289
angles (deg): 90.00 90.00 90.00
Space group Pnma (No. 62)
Unique sites:
1 Rb 0.101 0.250 0.223 (multiplicity 4)
2 Rb 0.138 0.001 0.682 (multiplicity 8)
3 Co 0.119 0.750 0.194 (multiplicity 4)
4 O 0.029 0.750 0.413 (multiplicity 4)
5 O 0.214 0.750 0.984 (multiplicity 4)

Top 10 peaks for 2θ = 15–90°, by intensity:
(2 2 1), 2θ 30.51, rel. 100
(4 0 0), 2θ 28.71, rel. 25
(0 0 2), 2θ 28.38, rel. 16
(6 2 1), 2θ 51.99, rel. 14
(4 0 2), 2θ 40.81, rel. 14
(1 0 2), 2θ 29.30, rel. 12
(0 4 0), 2θ 46.41, rel. 11
(1 2 3), 2θ 49.90, rel. 9
(3 2 1), 2θ 34.60, rel. 8
(4 4 0), 2θ 55.49, rel. 8

No. 3
The following is a theoretical powder diffractogram of NbP6W3O24. It was derived from a DFT-relaxed cell (PBE+U, the Materials Project), using Cu Ka.
Intensities are scaled so that the largest is 100.

Cell and atoms:
a b c (Å): 8.8610 8.8610 22.2716
angles (deg): 90.00 90.00 120.00
Space group R3 (No. 146, hexagonal axes)
Unique sites:
1 Nb 0.0000 0.0000 0.0000 (multiplicity 3)
2 P 0.0017 0.2860 0.1100 (multiplicity 9)
3 P 0.0474 0.6682 0.2751 (multiplicity 9)
4 W 0.0000 0.0000 0.2155 (multiplicity 3)
5 W 0.0000 0.0000 0.5016 (multiplicity 3)
6 W 0.0000 0.0000 0.7173 (multiplicity 3)
7 O 0.0201 0.8260 0.2654 (multiplicity 9)
8 O 0.0270 0.8248 0.5511 (multiplicity 9)
9 O 0.0287 0.1957 0.0544 (multiplicity 9)
10 O 0.0301 0.2058 0.7732 (multiplicity 9)
11 O 0.1552 0.4740 0.8338 (multiplicity 9)
12 O 0.1552 0.7014 0.3307 (multiplicity 9)
13 O 0.1624 0.6916 0.6156 (multiplicity 9)
14 O 0.1701 0.4669 0.1171 (multiplicity 9)

Top 10 peaks for 2θ = 15–90°, by intensity:
(1 0 4), 2θ 19.70, rel. 100
(1 1 0), 2θ 20.04, rel. 84
(0 2 4), 2θ 28.25, rel. 56
(1 1 6), 2θ 31.44, rel. 40
(2 1 4), 2θ 34.88, rel. 36
(1 1 3), 2θ 23.38, rel. 30
(3 0 0), 2θ 35.08, rel. 28
(2 1 10), 2θ 51.74, rel. 22
(4 -3 4), 2θ 45.63, rel. 21
(1 4 0), 2θ 54.82, rel. 20

No. 4
The following is a theoretical powder diffractogram of Li9Mn2Co5O16. It was derived from a DFT-relaxed cell (PBE+U, the Materials Project), using Cu Ka.
Intensities are scaled so that the largest is 100.

Cell and atoms:
a b c (Å): 5.131 7.722 7.773
angles (deg): 81.02 84.05 71.31
Space group P-1 (No. 2)
Unique sites:
1 Li 0.000 0.000 0.000 (multiplicity 1)
2 Li 0.494 0.937 0.182 (multiplicity 2)
3 Li 0.495 0.440 0.691 (multiplicity 2)
4 Li 0.495 0.692 0.938 (multiplicity 2)
5 Li 0.499 0.814 0.562 (multiplicity 2)
6 Mn 0.009 0.246 0.249 (multiplicity 2)
7 Co 0.000 0.500 0.500 (multiplicity 1)
8 Co 0.006 0.123 0.632 (multiplicity 2)
9 Co 0.006 0.635 0.123 (multiplicity 2)
10 O 0.219 0.670 0.538 (multiplicity 2)
11 O 0.220 0.544 0.897 (multiplicity 2)
12 O 0.220 0.909 0.769 (multiplicity 2)
13 O 0.228 0.400 0.284 (multiplicity 2)
14 O 0.231 0.041 0.401 (multiplicity 2)
15 O 0.233 0.291 0.654 (multiplicity 2)
16 O 0.235 0.168 0.044 (multiplicity 2)
17 O 0.236 0.767 0.163 (multiplicity 2)

Top 10 peaks for 2θ = 15–90°, by intensity:
(1 0 0), 2θ 18.28, rel. 100
(-1 1 3), 2θ 43.14, rel. 29
(2 3 1), 2θ 43.61, rel. 27
(1 -2 2), 2θ 43.83, rel. 27
(0 1 3), 2θ 35.70, rel. 14
(1 3 1), 2θ 35.99, rel. 14
(0 2 -2), 2θ 36.25, rel. 13
(2 2 -2), 2θ 47.65, rel. 9
(-2 3 1), 2θ 62.72, rel. 8
(1 1 3), 2θ 37.50, rel. 8

No. 5
The following is a theoretical powder diffractogram of Li2VCrP2O8F2. It was derived from a DFT-relaxed cell (PBE+U, the Materials Project), using Cu Ka.
Intensities are scaled so that the largest is 100.

Cell and atoms:
a b c (Å): 5.222 7.343 14.983
angles (deg): 93.88 92.60 108.58
Space group P-1 (No. 2)
Unique sites:
1 Li 0.064 0.483 0.295 (multiplicity 2)
2 Li 0.269 0.850 0.038 (multiplicity 2)
3 Li 0.398 0.818 0.628 (multiplicity 2)
4 V 0.000 0.500 0.500 (multiplicity 1)
5 V 0.333 0.333 0.833 (multiplicity 2)
6 Cr 0.000 0.000 0.500 (multiplicity 1)
7 Cr 0.334 0.834 0.833 (multiplicity 2)
8 P 0.109 0.049 0.286 (multiplicity 2)
9 P 0.223 0.284 0.048 (multiplicity 2)
10 P 0.442 0.381 0.620 (multiplicity 2)
11 O 0.009 0.154 0.762 (multiplicity 2)
12 O 0.048 0.833 0.916 (multiplicity 2)
13 O 0.096 0.835 0.722 (multiplicity 2)
14 O 0.140 0.291 0.947 (multiplicity 2)
15 O 0.194 0.044 0.387 (multiplicity 2)
16 O 0.240 0.500 0.612 (multiplicity 2)
17 O 0.286 0.503 0.417 (multiplicity 2)
18 O 0.324 0.179 0.571 (multiplicity 2)
19 O 0.342 0.487 0.096 (multiplicity 2)
20 O 0.381 0.165 0.249 (multiplicity 2)
21 O 0.429 0.168 0.055 (multiplicity 2)
22 O 0.472 0.625 0.280 (multiplicity 2)
23 F 0.152 0.792 0.524 (multiplicity 2)
24 F 0.180 0.550 0.810 (multiplicity 2)
25 F 0.487 0.116 0.857 (multiplicity 2)

Top 10 peaks for 2θ = 15–90°, by intensity:
(0 2 1), 2θ 26.91, rel. 100
(1 0 -4), 2θ 28.97, rel. 95
(1 -2 1), 2θ 26.68, rel. 69
(1 0 -1), 2θ 18.53, rel. 56
(1 -1 0), 2θ 18.39, rel. 34
(1 0 5), 2θ 36.28, rel. 31
(0 0 3), 2θ 17.85, rel. 30
(1 -1 3), 2θ 25.85, rel. 28
(1 1 1), 2θ 26.56, rel. 26
(1 0 2), 2θ 22.29, rel. 25